CoCuBrCl3: computed powder diffractogram (Cu Kα X-rays), based on DFT lattice parameters and positions (PBE).
Kinematic intensities with the Lorentz-polarization factor, no thermal factor.

```
data_CoCuBrCl3
_cell_length_a 5.6754
_cell_length_b 5.7345
_cell_length_c 6.3881
_cell_angle_alpha 115.55
_cell_angle_beta 116.22
_cell_angle_gamma 90.08
_space_group_name_H-M_alt 'P 1'
_space_group_IT_number 1
_space_group_name_Hall 'P 1'
loop_
_atom_site_label
_atom_site_type_symbol
_atom_site_fract_x
_atom_site_fract_y
_atom_site_fract_z
Co1 Co 0.0000 0.0000 0.0000
Cu1 Cu 0.2553 0.7652 0.5113
Br1 Br 0.3639 0.3719 0.2522
Cl1 Cl 0.1205 0.6679 0.7584
Cl2 Cl 0.6398 0.0976 0.7559
Cl3 Cl 0.9109 0.8894 0.2523
```

Top 10 peaks for 2θ = 10–80°, by intensity:
two_theta  intensity
17.96  100
28.16  72
28.59  68
44.95  37
36.36  18
47.62  17
48.34  16
54.12  14
17.65  14
48.46  14

HfTlCu3Se4: computed powder diffractogram (Cu Kα X-rays), based on DFT lattice parameters and positions (PBE).
Kinematic intensities with the Lorentz-polarization factor, no thermal factor.

```
data_HfTlCu3Se4
_cell_length_a 6.2170
_cell_length_b 6.2170
_cell_length_c 6.2170
_cell_angle_alpha 90.00
_cell_angle_beta 90.00
_cell_angle_gamma 90.00
_space_group_name_H-M_alt 'P -4 3 m'
_space_group_IT_number 215
_space_group_name_Hall 'P -4 2 3'
loop_
_atom_site_label
_atom_site_type_symbol
_atom_site_fract_x
_atom_site_fract_y
_atom_site_fract_z
Hf1 Hf 0.0000 0.0000 0.0000
Tl1 Tl 0.5000 0.5000 0.5000
Cu1 Cu 0.0000 0.0000 0.5000
Se1 Se 0.2299 0.2299 0.7701
```

Top 10 peaks for 2θ = 10–80°, by intensity:
two_theta  intensity
41.06  100
20.20  76
24.81  50
35.37  38
74.82  30
55.29  24
48.57  22
46.17  16
59.47  16
63.48  13